No. 1
Structure and simulated powder diffraction line list of Ac4PmY3 (a DFT-relaxed cell (PBE, Alexandria); copper Kα).
Kinematic intensities with the Lorentz-polarization factor, no thermal factor.

Structural model:
a b c (Å): 5.416 10.826 10.557
angles (deg): 90.00 90.00 90.00
Atoms (fractional coordinates):
1 Ac 0.250 0.000 0.136
2 Ac 0.250 0.250 0.862
3 Ac 0.250 0.500 0.136
4 Ac 0.250 0.750 0.863
5 Ac 0.750 0.000 0.864
6 Ac 0.750 0.250 0.137
7 Ac 0.750 0.500 0.864
8 Ac 0.750 0.750 0.138
9 Pm 0.250 0.750 0.390
10 Pm 0.750 0.250 0.610
11 Y 0.250 0.001 0.611
12 Y 0.250 0.250 0.389
13 Y 0.250 0.499 0.611
14 Y 0.750 0.501 0.389
15 Y 0.750 0.750 0.611
16 Y 0.750 0.999 0.389

Main lines, sorted by position (10° ≤ 2θ ≤ 80°):
two_theta	I_rel
24.7	13.6
28.8	100.0
33.1	35.8
34.0	15.0
47.5	13.2
48.1	22.8
56.5	30.8
57.7	11.7
59.7	12.1
77.8	9.8

---

No. 2
Structure and simulated powder diffraction line list of Ac2Pm5Y2 (a DFT-relaxed cell (PBE, Alexandria); copper Kα).
Kinematic intensities with the Lorentz-polarization factor, no thermal factor.

Structural model:
a b c (Å): 3.696 8.807 10.539
angles (deg): 79.67 80.12 89.56
Atoms (fractional coordinates):
1 Ac 0.100 0.323 0.293
2 Ac 0.900 0.677 0.707
3 Pm 0.087 0.720 0.349
4 Pm 0.283 0.348 0.933
5 Pm 0.500 0.000 0.500
6 Pm 0.717 0.652 0.067
7 Pm 0.913 0.280 0.651
8 Y 0.318 0.970 0.857
9 Y 0.682 0.030 0.143

Main lines, sorted by position (10° ≤ 2θ ≤ 80°):
two_theta	I_rel
26.8	34.0
27.0	39.3
29.9	71.4
30.3	100.0
31.0	70.9
31.5	67.9
31.7	61.8
32.6	67.5
32.8	62.6
58.5	40.4

---

No. 3
Structure and simulated powder diffraction line list of Ac3Pm2Y7 (a DFT-relaxed cell (PBE, Alexandria); copper Kα).
Kinematic intensities with the Lorentz-polarization factor, no thermal factor.

Structural model:
a b c (Å): 20.704 20.704 5.814
angles (deg): 90.00 90.00 169.48
Atoms (fractional coordinates):
1 Ac 0.000 0.000 0.000
2 Ac 0.327 0.673 0.500
3 Ac 0.673 0.327 0.500
4 Pm 0.138 0.862 0.000
5 Pm 0.862 0.138 0.000
6 Y 0.083 0.917 0.500
7 Y 0.216 0.784 0.000
8 Y 0.431 0.569 0.000
9 Y 0.500 0.500 0.500
10 Y 0.569 0.431 0.000
11 Y 0.784 0.216 0.000
12 Y 0.917 0.083 0.500

Main lines, sorted by position (10° ≤ 2θ ≤ 80°):
two_theta	I_rel
12.9	37.5
23.1	31.5
28.2	19.9
28.8	30.3
30.1	100.0
30.6	33.8
30.8	57.0
32.0	62.0
34.1	36.7
43.9	26.9

---

No. 4
Structure and simulated powder diffraction line list of Ac19Pm4Y6 (a DFT-relaxed cell (PBE, Alexandria); copper Kα).
Kinematic intensities with the Lorentz-polarization factor, no thermal factor.

Structural model:
a b c (Å): 11.779 11.779 11.779
angles (deg): 109.47 109.47 109.47
Atoms (fractional coordinates):
1 Ac 0.000 0.000 0.000
2 Ac 0.000 0.266 0.266
3 Ac 0.000 0.734 0.734
4 Ac 0.005 0.788 0.342
5 Ac 0.212 0.218 0.555
6 Ac 0.218 0.555 0.212
7 Ac 0.266 0.000 0.266
8 Ac 0.266 0.266 0.000
9 Ac 0.337 0.782 0.995
10 Ac 0.342 0.005 0.788
11 Ac 0.445 0.663 0.658
12 Ac 0.555 0.212 0.218
13 Ac 0.658 0.445 0.663
14 Ac 0.663 0.658 0.445
15 Ac 0.734 0.000 0.734
16 Ac 0.734 0.734 0.000
17 Ac 0.782 0.995 0.337
18 Ac 0.788 0.342 0.005
19 Ac 0.995 0.337 0.782
20 Pm 0.000 0.000 0.646
21 Pm 0.000 0.646 0.000
22 Pm 0.354 0.354 0.354
23 Pm 0.646 0.000 0.000
24 Y 0.117 0.617 0.500
25 Y 0.383 0.500 0.883
26 Y 0.500 0.117 0.617
27 Y 0.500 0.883 0.383
28 Y 0.617 0.500 0.117
29 Y 0.883 0.383 0.500

Main lines, sorted by position (10° ≤ 2θ ≤ 80°):
two_theta	I_rel
24.5	33.3
26.2	49.5
27.8	100.0
30.8	16.9
32.2	25.3
33.6	46.7
38.6	17.7
47.3	21.3
49.2	29.5
54.8	27.1

---

No. 5
Structure and simulated powder diffraction line list of Ac2PmY7 (a DFT-relaxed cell (PBE, Alexandria); copper Kα).
Kinematic intensities with the Lorentz-polarization factor, no thermal factor.

Structural model:
a b c (Å): 5.858 8.442 8.474
angles (deg): 112.68 101.32 101.37
Atoms (fractional coordinates):
1 Ac 0.082 0.220 0.223
2 Ac 0.918 0.780 0.777
3 Pm 0.000 0.500 0.000
4 Y 0.000 0.000 0.500
5 Y 0.331 0.732 0.477
6 Y 0.333 0.477 0.731
7 Y 0.499 0.129 0.870
8 Y 0.501 0.871 0.130
9 Y 0.667 0.523 0.269
10 Y 0.669 0.268 0.523

Main lines, sorted by position (10° ≤ 2θ ≤ 80°):
two_theta	I_rel
20.3	18.6
21.0	24.7
24.7	37.0
29.8	62.6
30.2	100.0
30.3	75.0
31.2	57.5
32.6	37.1
32.7	44.0
41.1	25.7

---

No. 6
Structure and simulated powder diffraction line list of AcPm6Y2 (a DFT-relaxed cell (PBE, Alexandria); copper Kα).
Kinematic intensities with the Lorentz-polarization factor, no thermal factor.

Structural model:
a b c (Å): 12.197 12.197 12.197
angles (deg): 152.42 131.44 56.76
Atoms (fractional coordinates):
1 Ac 0.250 0.250 0.000
2 Ac 0.750 0.750 0.000
3 Pm 0.004 0.338 0.668
4 Pm 0.081 0.081 0.000
5 Pm 0.170 0.838 0.334
6 Pm 0.330 0.664 0.668
7 Pm 0.419 0.419 0.000
8 Pm 0.496 0.164 0.334
9 Pm 0.504 0.836 0.666
10 Pm 0.581 0.581 0.000
11 Pm 0.670 0.336 0.332
12 Pm 0.830 0.162 0.666
13 Pm 0.919 0.919 0.000
14 Pm 0.996 0.662 0.332
15 Y 0.167 0.498 0.665
16 Y 0.333 0.998 0.332
17 Y 0.667 0.002 0.668
18 Y 0.833 0.502 0.335

Main lines, sorted by position (10° ≤ 2θ ≤ 80°):
two_theta	I_rel
30.7	100.0
30.8	50.5
44.0	27.8
51.1	6.8
54.6	9.8
54.7	29.6
54.9	5.0
60.8	20.8
64.3	6.2
78.1	6.8

---

No. 7
Structure and simulated powder diffraction line list of AcPm2Y5 (a DFT-relaxed cell (PBE, Alexandria); copper Kα).
Kinematic intensities with the Lorentz-polarization factor, no thermal factor.

Structural model:
a b c (Å): 7.282 14.583 5.149
angles (deg): 90.00 90.00 90.00
Atoms (fractional coordinates):
1 Ac 0.000 0.000 0.000
2 Ac 0.500 0.500 0.000
3 Pm 0.245 0.372 0.500
4 Pm 0.255 0.872 0.500
5 Pm 0.745 0.128 0.500
6 Pm 0.755 0.628 0.500
7 Y 0.000 0.500 0.000
8 Y 0.003 0.747 0.000
9 Y 0.250 0.127 0.500
10 Y 0.250 0.627 0.500
11 Y 0.497 0.247 0.000
12 Y 0.500 0.000 0.000
13 Y 0.503 0.753 0.000
14 Y 0.750 0.373 0.500
15 Y 0.750 0.873 0.500
16 Y 0.997 0.253 0.000

Main lines, sorted by position (10° ≤ 2θ ≤ 80°):
two_theta	I_rel
12.1	2.5
13.6	4.4
21.1	2.6
22.0	6.2
30.0	100.0
34.8	50.4
50.1	35.7
59.5	42.2
62.5	12.1
73.5	5.6

---

No. 8
Structure and simulated powder diffraction line list of Ac5Pm6Y2 (a DFT-relaxed cell (PBE, Alexandria); copper Kα).
Kinematic intensities with the Lorentz-polarization factor, no thermal factor.

Structural model:
a b c (Å): 12.006 21.955 3.816
angles (deg): 90.00 90.00 90.00
Atoms (fractional coordinates):
1 Ac 0.000 0.000 0.000
2 Ac 0.069 0.425 0.000
3 Ac 0.146 0.723 0.000
4 Ac 0.354 0.223 0.000
5 Ac 0.431 0.925 0.000
6 Ac 0.500 0.500 0.000
7 Ac 0.569 0.075 0.000
8 Ac 0.646 0.777 0.000
9 Ac 0.854 0.277 0.000
10 Ac 0.931 0.575 0.000
11 Pm 0.083 0.153 0.000
12 Pm 0.162 0.881 0.500
13 Pm 0.225 0.558 0.500
14 Pm 0.275 0.058 0.500
15 Pm 0.338 0.381 0.500
16 Pm 0.417 0.653 0.000
17 Pm 0.583 0.347 0.000
18 Pm 0.662 0.619 0.500
19 Pm 0.725 0.942 0.500
20 Pm 0.775 0.442 0.500
21 Pm 0.838 0.119 0.500
22 Pm 0.917 0.847 0.000
23 Y 0.116 0.284 0.500
24 Y 0.384 0.784 0.500
25 Y 0.616 0.216 0.500
26 Y 0.884 0.716 0.500

Main lines, sorted by position (10° ≤ 2θ ≤ 80°):
two_theta	I_rel
27.6	26.6
27.7	31.5
28.9	30.7
29.4	100.0
30.0	23.3
30.2	24.3
30.3	83.0
30.9	23.1
37.9	23.1
57.0	23.3

---

No. 9
Structure and simulated powder diffraction line list of Ac5Pm2Y (a DFT-relaxed cell (PBE, Alexandria); copper Kα).
Kinematic intensities with the Lorentz-polarization factor, no thermal factor.

Structural model:
a b c (Å): 7.639 15.325 5.529
angles (deg): 90.00 90.00 90.00
Atoms (fractional coordinates):
1 Ac 0.000 0.000 0.000
2 Ac 0.013 0.254 0.000
3 Ac 0.239 0.621 0.500
4 Ac 0.261 0.121 0.500
5 Ac 0.487 0.754 0.000
6 Ac 0.500 0.500 0.000
7 Ac 0.513 0.246 0.000
8 Ac 0.739 0.879 0.500
9 Ac 0.761 0.379 0.500
10 Ac 0.987 0.746 0.000
11 Pm 0.242 0.876 0.500
12 Pm 0.258 0.376 0.500
13 Pm 0.742 0.624 0.500
14 Pm 0.758 0.124 0.500
15 Y 0.000 0.500 0.000
16 Y 0.500 0.000 0.000

Main lines, sorted by position (10° ≤ 2θ ≤ 80°):
two_theta	I_rel
28.4	100.0
32.4	18.0
33.1	33.2
47.0	25.4
55.3	16.2
56.2	14.8
56.3	14.3
58.6	6.6
58.8	6.3
75.9	12.2

---

No. 10
Structure and simulated powder diffraction line list of AcPm7Y2 (a DFT-relaxed cell (PBE, Alexandria); copper Kα).
Kinematic intensities with the Lorentz-polarization factor, no thermal factor.

Structural model:
a b c (Å): 6.688 6.790 8.524
angles (deg): 73.48 72.31 83.64
Atoms (fractional coordinates):
1 Ac 0.000 0.000 0.000
2 Pm 0.000 0.000 0.500
3 Pm 0.205 0.590 0.769
4 Pm 0.223 0.534 0.343
5 Pm 0.428 0.239 0.059
6 Pm 0.572 0.761 0.941
7 Pm 0.777 0.466 0.657
8 Pm 0.795 0.410 0.231
9 Y 0.438 0.149 0.632
10 Y 0.562 0.851 0.368

Main lines, sorted by position (10° ≤ 2θ ≤ 80°):
two_theta	I_rel
29.6	37.9
30.6	100.0
30.7	39.8
30.9	47.2
31.2	36.1
42.4	13.9
43.7	14.3
45.3	13.2
54.2	16.6
54.8	17.6

---

No. 11
Structure and simulated powder diffraction line list of Ac6PmY4 (a DFT-relaxed cell (PBE, Alexandria); copper Kα).
Kinematic intensities with the Lorentz-polarization factor, no thermal factor.

Structural model:
a b c (Å): 10.580 10.580 10.580
angles (deg): 141.36 141.36 55.79
Atoms (fractional coordinates):
1 Ac 0.000 0.500 0.500
2 Ac 0.034 0.671 0.000
3 Ac 0.329 0.329 0.364
4 Ac 0.500 0.000 0.500
5 Ac 0.671 0.034 0.000
6 Ac 0.966 0.966 0.636
7 Pm 0.500 0.500 0.000
8 Y 0.156 0.156 0.639
9 Y 0.483 0.844 0.000
10 Y 0.517 0.517 0.361
11 Y 0.844 0.483 0.000

Main lines, sorted by position (10° ≤ 2θ ≤ 80°):
two_theta	I_rel
19.0	32.5
20.3	61.4
27.2	71.4
28.6	55.5
28.9	91.5
31.9	100.0
36.3	28.4
37.5	59.2
55.7	31.1
59.8	36.2